Structure and calculated X-ray powder pattern of SrCa7Ti3Mn5O23 (DFT lattice parameters and positions (PBE+U); Cu Kα, 1.54184 Å).
Intensities are scaled so that the largest is 100.

Principal peaks in the range 2θ from 10° to 90°, sorted by position:
d [Å], 2θ/deg, I (rel.), h k l
7.717, 11.47, 8, 1 0 0
2.732, 32.78, 100, 0 2 2
2.230, 40.44, 8, -2 2 2
1.934, 46.98, 33, 0 4 0
1.927, 47.17, 15, 4 0 0
1.578, 58.48, 23, -2 2 4
1.575, 58.61, 10, 4 -2 2
1.368, 68.62, 8, 0 4 4
1.365, 68.77, 16, 4 -4 0
1.115, 87.46, 7, -4 4 4

```
SrCa7Ti3Mn5O23
1.0
7.7065 0.0000 0.0000
-0.0030 7.7328 0.0000
-0.0036 -0.0063 7.7404
Sr Ca Ti Mn O
1 7 3 5 23
Direct
0.0000 0.0000 0.0000
0.5286 0.0064 0.0019
0.5291 0.4822 0.0021
0.5360 0.0108 0.4957
0.5374 0.4754 0.4954
0.9810 0.0117 0.4962
0.9820 0.4758 0.4956
0.9880 0.4817 0.0019
0.2611 0.2461 0.7541
0.2607 0.7415 0.2639
0.2609 0.7426 0.7354
0.2603 0.2441 0.2459
0.7591 0.2433 0.2479
0.7592 0.2435 0.7496
0.7586 0.7423 0.2451
0.7585 0.7422 0.7529
0.0078 0.2448 0.7433
0.0099 0.2465 0.2571
0.0142 0.7405 0.7674
0.0148 0.7402 0.2293
0.2602 0.5001 0.7822
0.2611 0.2418 0.0023
0.2612 0.2450 0.4995
0.2606 0.4976 0.2258
0.2623 0.7402 0.4991
0.2619 0.9850 0.7776
0.2620 0.9877 0.2303
0.5043 0.7418 0.2249
0.5050 0.7415 0.7712
0.5092 0.2442 0.2538
0.5112 0.2440 0.7452
0.7557 0.2466 0.9985
0.7557 0.9926 0.2574
0.7556 0.9934 0.7413
0.7585 0.2443 0.4995
0.7584 0.4930 0.2542
0.7578 0.7405 0.4986
0.7586 0.4922 0.7445
0.7588 0.7385 0.9993
```


Structure and calculated X-ray powder pattern of Li9Mn2Co5O16 (DFT lattice parameters and positions (PBE+U); Cu Kα, 1.54184 Å).
Intensities are scaled so that the largest is 100.

Principal peaks in the range 2θ from 10° to 90°, sorted by position:
d [Å], 2θ/deg, I (rel.), h k l
4.811, 18.44, 100, 0 1 1
2.569, 34.92, 17, 2 0 1
2.441, 36.81, 23, 0 1 -3
2.404, 37.42, 8, 0 2 2
2.368, 38.01, 7, 0 2 -2
2.152, 41.99, 31, 2 -1 0
2.026, 44.72, 50, 2 3 0
1.905, 47.73, 9, 2 0 -3
1.570, 58.82, 10, 2 4 1
1.475, 63.01, 30, 4 2 0

```
Li9Mn2Co5O16
1.0
5.9081 0.0000 0.0000
2.6004 5.9056 0.0000
0.1143 0.1355 8.1056
Li Mn Co O
9 2 5 16
Direct
0.0000 0.0000 0.0000
0.0007 0.0000 0.5028
0.1151 0.2434 0.7422
0.2449 0.5008 0.5001
0.3773 0.7514 0.2565
0.5017 0.9966 0.0024
0.6432 0.2428 0.7469
0.7600 0.4943 0.5027
0.8734 0.7528 0.2599
0.6328 0.2439 0.2515
0.8769 0.7516 0.7481
0.1294 0.2453 0.2553
0.2500 0.4985 0.0011
0.3673 0.7560 0.7490
0.5045 0.9983 0.5010
0.7511 0.4977 0.0013
0.1306 0.2428 0.4833
0.1360 0.2626 0.0160
0.2222 0.5276 0.7599
0.2799 0.4701 0.2406
0.3664 0.7340 0.9856
0.3900 0.7627 0.5184
0.5135 0.0049 0.2581
0.5265 0.9729 0.7450
0.6137 0.2377 0.4878
0.6297 0.2620 0.0102
0.7389 0.4912 0.2397
0.7578 0.5066 0.7654
0.8668 0.7345 0.9928
0.8793 0.7472 0.5168
0.9739 0.0321 0.2489
0.9953 0.9845 0.7541
```


Structure and calculated X-ray powder pattern of LiVPO4 (DFT lattice parameters and positions (PBE+U); Cu Kα, 1.54184 Å).
Intensities are scaled so that the largest is 100.

Principal peaks in the range 2θ from 10° to 90°, sorted by position:
d [Å], 2θ/deg, I (rel.), h k l
5.833, 15.19, 65, 0 1 1
4.093, 21.71, 100, 1 0 0
4.071, 21.83, 31, 1 0 -2
3.766, 23.63, 35, 1 1 -2
2.565, 34.98, 14, 1 3 -2
2.521, 35.61, 14, 1 2 1
2.478, 36.25, 78, 2 0 -2
2.338, 38.51, 22, 0 1 3
2.121, 42.63, 12, 1 1 2
1.910, 47.60, 17, 0 5 1

```
LiVPO4
1.0
4.9588 0.0000 0.0000
0.0000 9.9082 0.0000
-4.8989 0.0000 7.2163
Li V P O
4 4 4 16
Direct
0.1875 0.1701 0.4873
0.1875 0.3299 0.9873
0.8125 0.6701 0.0127
0.8125 0.8299 0.5127
0.2862 0.6143 0.5157
0.2862 0.8857 0.0157
0.7138 0.1143 0.9843
0.7138 0.3857 0.4843
0.4599 0.0953 0.2675
0.4599 0.4047 0.7675
0.5401 0.5953 0.2325
0.5401 0.9047 0.7325
0.1469 0.1268 0.2599
0.1469 0.3732 0.7599
0.2597 0.6855 0.0871
0.2597 0.8145 0.5871
0.3629 0.1202 0.0602
0.3629 0.3798 0.5602
0.4462 0.0560 0.6989
0.4462 0.4440 0.1989
0.5538 0.5560 0.8011
0.5538 0.9440 0.3011
0.6371 0.6202 0.4398
0.6371 0.8798 0.9398
0.7403 0.1855 0.4129
0.7403 0.3145 0.9129
0.8531 0.6268 0.2401
0.8531 0.8732 0.7401
```


Structure and calculated X-ray powder pattern of RbTaV2O8 (DFT lattice parameters and positions (PBE+U); Cu Kα, 1.54184 Å).
Intensities are scaled so that the largest is 100.

Principal peaks in the range 2θ from 10° to 90°, sorted by position:
d [Å], 2θ/deg, I (rel.), h k l
7.877, 11.23, 24, 1 0 1
4.609, 19.26, 43, 0 0 2
4.553, 19.50, 25, 2 1 0
4.440, 20.00, 24, 3 0 1
3.801, 23.41, 20, 4 0 0
3.483, 25.57, 10, 1 1 2
3.238, 27.55, 100, 2 1 2
2.844, 31.46, 29, 0 2 0
1.981, 45.80, 11, 7 1 1
1.708, 53.66, 15, 2 3 2

```
RbTaV2O8
1.0
15.2027 0.0000 0.0000
0.0000 5.6863 0.0000
0.0000 0.0000 9.2092
Rb Ta V O
4 4 8 32
Direct
0.1138 0.2500 0.0525
0.3862 0.7500 0.5525
0.6138 0.2500 0.4475
0.8862 0.7500 0.9475
0.1588 0.2500 0.5040
0.3412 0.7500 0.0040
0.6588 0.2500 0.9960
0.8412 0.7500 0.4960
0.0616 0.7500 0.3194
0.1621 0.7500 0.7526
0.3379 0.2500 0.2526
0.4384 0.2500 0.8194
0.5616 0.7500 0.1806
0.6621 0.7500 0.7474
0.8379 0.2500 0.2474
0.9384 0.2500 0.6806
0.0367 0.2500 0.5790
0.0404 0.7500 0.1435
0.0561 0.7500 0.7863
0.1255 0.0039 0.3613
0.1255 0.4961 0.3613
0.1906 0.0027 0.6492
0.1906 0.4973 0.6492
0.2196 0.7500 0.9228
0.2804 0.2500 0.4228
0.3094 0.5027 0.1492
0.3094 0.9973 0.1492
0.3745 0.5039 0.8613
0.3745 0.9961 0.8613
0.4439 0.2500 0.2863
0.4596 0.2500 0.6435
0.4633 0.7500 0.0790
0.5367 0.2500 0.9210
0.5404 0.7500 0.3565
0.5561 0.7500 0.7137
0.6255 0.0039 0.1387
0.6255 0.4961 0.1387
0.6906 0.0027 0.8508
0.6906 0.4973 0.8508
0.7196 0.7500 0.5772
0.7804 0.2500 0.0772
0.8094 0.5027 0.3508
0.8094 0.9973 0.3508
0.8745 0.5039 0.6387
0.8745 0.9961 0.6387
0.9439 0.2500 0.2137
0.9596 0.2500 0.8565
0.9633 0.7500 0.4210
```